For KNdTc2O8, DFT lattice parameters and positions (PBE) gives the computed XRD peak list in this record (copper Kα).
Intensities are scaled so that the largest is 100.

The 10 most intense peaks (2θ = 10–80°), by angle:
- 2θ 20.41, I 100.0, (0 1 1)
- 2θ 28.65, I 45.7, (1 0 2)
- 2θ 29.40, I 48.9, (1 1 0)
- 2θ 38.90, I 10.4, (1 0 3)
- 2θ 41.51, I 25.5, (0 2 2)
- 2θ 47.19, I 20.0, (1 2 1)
- 2θ 51.68, I 16.7, (2 1 2)
- 2θ 52.15, I 9.5, (3 0 0)
- 2θ 56.41, I 14.1, (1 1 4)
- 2θ 61.00, I 9.5, (2 2 0)

Crystal structure
abc: 6.076 6.076 7.734
angles: 90.00 90.00 120.00
Fractional coordinates of all 12 atoms:
K: 0.000 0.000 0.000
Nd: 0.000 0.000 0.500
Tc: 0.333 0.667 0.773
Tc: 0.667 0.333 0.227
O: 0.173 0.345 0.693
O: 0.173 0.827 0.693
O: 0.333 0.667 0.999
O: 0.345 0.173 0.307
O: 0.655 0.827 0.693
O: 0.667 0.333 0.001
O: 0.827 0.173 0.307
O: 0.827 0.655 0.307